1.
The following is a calculated powder diffraction line list of Nd2CdGa2. It was derived from a crystal structure in Alexandria, relaxed with GGA-PBE, using Cu Kα, 1.54184 Å.
Neutral-atom scattering factors, no anomalous dispersion.

Peak list (12 most intense, 15 to 90 degrees two-theta, low angle first)
2θ (°)	d [Å]	I (rel.)
28.67	3.114	23
30.37	2.943	100
32.94	2.719	61
35.50	2.528	29
38.73	2.325	41
41.71	2.166	25
43.20	2.094	23
55.21	1.664	10
55.38	1.659	27
58.22	1.585	24
61.61	1.505	15
69.14	1.359	12

Cell and atoms:
```
data_Nd2CdGa2
_chemical_formula_sum 'Nd4 Cd2 Ga4'
_cell_length_a 4.188
_cell_length_b 13.972
_cell_length_c 4.331
_cell_angle_alpha 90.00
_cell_angle_beta 90.00
_cell_angle_gamma 90.00
_symmetry_space_group_name_H-M 'C m m m'
_symmetry_Int_Tables_number 65
_symmetry_space_group_name_Hall '-C 2 2'
loop_
_atom_site_label
_atom_site_type_symbol
_atom_site_fract_x
_atom_site_fract_y
_atom_site_fract_z
Nd1 Nd 0.000 0.133 0.000
Cd1 Cd 0.000 0.500 0.500
Ga1 Ga 0.000 0.302 0.500
```

***

2.
The following is a calculated powder diffraction line list of Nd6CdGa. It was derived from a crystal structure in Alexandria, relaxed with GGA-PBE, using Cu Kα, 1.54184 Å.
Neutral-atom scattering factors, no anomalous dispersion.

Peak list (12 most intense, 15 to 90 degrees two-theta, low angle first)
2θ (°)	d [Å]	I (rel.)
25.97	3.431	8
31.17	2.869	100
34.22	2.621	43
39.78	2.266	9
45.83	1.980	7
49.17	1.853	16
53.45	1.714	15
56.49	1.629	9
59.37	1.557	32
65.01	1.435	8
80.60	1.192	7
82.27	1.172	8

Cell and atoms:
```
data_Nd6CdGa
_chemical_formula_sum 'Nd12 Cd2 Ga2'
_cell_length_a 5.241
_cell_length_b 5.241
_cell_length_c 18.130
_cell_angle_alpha 90.00
_cell_angle_beta 90.00
_cell_angle_gamma 90.00
_symmetry_space_group_name_H-M 'I 4/m m m'
_symmetry_Int_Tables_number 139
_symmetry_space_group_name_Hall '-I 4 2'
loop_
_atom_site_label
_atom_site_type_symbol
_atom_site_fract_x
_atom_site_fract_y
_atom_site_fract_z
Nd1 Nd 0.000 0.000 0.250
Nd2 Nd 0.000 0.500 0.107
Cd1 Cd 0.000 0.000 0.000
Ga1 Ga 0.000 0.000 0.500
```

***

3.
The following is a calculated powder diffraction line list of Nd3CdGa2. It was derived from a crystal structure in Alexandria, relaxed with GGA-PBE, using Cu Kα, 1.54184 Å.
Neutral-atom scattering factors, no anomalous dispersion.

Peak list (12 most intense, 15 to 90 degrees two-theta, low angle first)
2θ (°)	d [Å]	I (rel.)
24.47	3.638	7
33.38	2.684	100
34.88	2.572	46
45.63	1.988	10
50.15	1.819	16
58.69	1.573	18
61.59	1.506	33
70.12	1.342	10
73.65	1.286	5
76.49	1.245	7
83.31	1.160	7
84.15	1.150	7

Cell and atoms:
```
data_Nd3CdGa2
_chemical_formula_sum 'Nd3 Cd1 Ga2'
_cell_length_a 3.638
_cell_length_b 3.638
_cell_length_c 11.929
_cell_angle_alpha 90.00
_cell_angle_beta 90.00
_cell_angle_gamma 90.00
_symmetry_space_group_name_H-M 'P 4/m m m'
_symmetry_Int_Tables_number 123
_symmetry_space_group_name_Hall '-P 4 2'
loop_
_atom_site_label
_atom_site_type_symbol
_atom_site_fract_x
_atom_site_fract_y
_atom_site_fract_z
Nd1 Nd 0.000 0.000 0.000
Nd2 Nd 0.000 0.000 0.320
Cd1 Cd 0.500 0.500 0.500
Ga1 Ga 0.500 0.500 0.164
```